1.
Calculated powder diffractogram of Tl3CS3 for copper Kα, from a cell relaxed with GGA-PBE.

Top 10 peaks for 10° ≤ 2θ ≤ 80°, in order of rising 2θ:
2theta	d/Å	I_rel	h k l
17.1	5.176	49	0 1 1
25.1	3.553	73	0 1 2
27.3	3.271	100	0 2 0
29.6	3.022	42	2 1 -1
29.8	2.997	65	2 0 -2
30.9	2.894	64	2 0 1
31.7	2.821	45	0 0 3
40.8	2.209	57	2 2 -2
41.7	2.168	61	2 2 1
42.3	2.136	41	0 2 3

Cell and atoms:
a b c (Å): 6.907 6.542 8.709
angles (deg): 90.00 103.67 90.00
Space group P2_1/m (No. 11)
Symmetry-distinct sites (fractional):
Tl 0.075 0.250 0.308 (multiplicity 2)
Tl 0.255 0.250 0.955 (multiplicity 2)
Tl 0.406 0.750 0.646 (multiplicity 2)
C 0.311 0.750 0.217 (multiplicity 2)
S 0.120 0.750 0.315 (multiplicity 2)
S 0.263 0.750 0.014 (multiplicity 2)
S 0.444 0.250 0.673 (multiplicity 2)

---

2.
Calculated powder diffractogram of ScZn2Ag8 for copper Kα, from a cell relaxed with GGA-PBE.

Top 10 peaks for 10° ≤ 2θ ≤ 80°, in order of rising 2θ:
2theta	d/Å	I_rel	h k l
35.9	2.503	2	3 1 -2
37.9	2.376	100	5 1 -1
42.6	2.123	18	0 2 0
42.7	2.118	18	4 0 -3
46.7	1.947	13	6 0 1
61.9	1.499	11	4 2 -3
65.0	1.435	14	10 0 -2
65.2	1.431	4	2 0 4
74.8	1.269	18	5 3 -1
75.1	1.265	6	3 1 -5

Cell and atoms:
a b c (Å): 14.454 4.245 6.638
angles (deg): 90.00 109.03 90.00
Space group C2/m (No. 12)
Symmetry-distinct sites (fractional):
Sc 0.000 0.000 0.000 (multiplicity 2)
Zn 0.227 0.500 0.645 (multiplicity 4)
Ag 0.048 0.500 0.730 (multiplicity 4)
Ag 0.099 0.000 0.466 (multiplicity 4)
Ag 0.142 0.500 0.205 (multiplicity 4)
Ag 0.184 0.000 0.921 (multiplicity 4)

---

3.
Calculated powder diffractogram of La8Dy4Er for copper Kα, from a cell relaxed with GGA-PBE.

Top 10 peaks for 10° ≤ 2θ ≤ 80°, in order of rising 2θ:
2theta	d/Å	I_rel	h k l
26.5	3.362	24	0 0 9
28.7	3.114	15	0 2 1
30.9	2.893	100	0 2 4
32.2	2.781	33	2 0 5
32.9	2.724	13	1 0 10
37.3	2.412	37	2 0 8
48.8	1.868	12	0 2 13
50.5	1.808	29	2 2 0
57.9	1.592	15	2 2 9
60.4	1.533	14	4 0 4

Cell and atoms:
a b c (Å): 7.2300 7.2300 30.2596
angles (deg): 90.00 90.00 120.00
Space group R-3m (No. 166, hexagonal axes)
Symmetry-distinct sites (fractional):
La 0.0000 0.0000 0.2093 (multiplicity 6)
La 0.0291 0.5146 0.7621 (multiplicity 18)
Dy 0.0000 0.0000 0.0000 (multiplicity 3)
Dy 0.0000 0.5000 0.0000 (multiplicity 9)
Er 0.0000 0.0000 0.5000 (multiplicity 3)

---

Copy entry 2 word for word.
Calculated powder diffractogram of ScZn2Ag8 for copper Kα, from a cell relaxed with GGA-PBE.

Top 10 peaks for 10° ≤ 2θ ≤ 80°, in order of rising 2θ:
2theta	d/Å	I_rel	h k l
35.9	2.503	2	3 1 -2
37.9	2.376	100	5 1 -1
42.6	2.123	18	0 2 0
42.7	2.118	18	4 0 -3
46.7	1.947	13	6 0 1
61.9	1.499	11	4 2 -3
65.0	1.435	14	10 0 -2
65.2	1.431	4	2 0 4
74.8	1.269	18	5 3 -1
75.1	1.265	6	3 1 -5

Cell and atoms:
a b c (Å): 14.454 4.245 6.638
angles (deg): 90.00 109.03 90.00
Space group C2/m (No. 12)
Symmetry-distinct sites (fractional):
Sc 0.000 0.000 0.000 (multiplicity 2)
Zn 0.227 0.500 0.645 (multiplicity 4)
Ag 0.048 0.500 0.730 (multiplicity 4)
Ag 0.099 0.000 0.466 (multiplicity 4)
Ag 0.142 0.500 0.205 (multiplicity 4)
Ag 0.184 0.000 0.921 (multiplicity 4)